Record 1
Diffraction record for LiCrHRh2. The X-ray powder pattern is simulated, not measured: it uses a DFT-relaxed cell (GGA-PBE, Alexandria) and Cu Kα (λ = 1.5418 Å).
Lines closer than 0.1° are merged.

abc: 3.9587 3.9587 3.5112
angles: 90.00 90.00 90.00
Space group P4/mmm (No. 123)
Inequivalent atoms, fractional coordinates:
Li 0.0000 0.0000 0.0000 [1 per cell]
Cr 0.5000 0.5000 0.0000 [1 per cell]
H 0.0000 0.0000 0.5000 [1 per cell]
Rh 0.0000 0.5000 0.5000 [2 per cell]

Peak list (8 most intense, 10 to 90 degrees two-theta, low angle first)
hkl 0 0 1, 25.4 deg, rel. 304
hkl 1 1 0, 32.0 deg, rel. 320
hkl 1 1 1, 41.2 deg, rel. 1000
hkl 2 0 0, 45.8 deg, rel. 372
hkl 0 0 2, 52.1 deg, rel. 126
hkl 2 0 1, 53.1 deg, rel. 159
hkl 2 0 2, 71.9 deg, rel. 183
hkl 3 1 1, 81.7 deg, rel. 255

***

Record 2
Diffraction record for LiZr2CrH. The X-ray powder pattern is simulated, not measured: it uses a DFT-relaxed cell (GGA-PBE, Alexandria) and Cu Kα (λ = 1.5418 Å).
Lines closer than 0.1° are merged.

abc: 5.1031 5.1031 3.0287
angles: 90.00 90.00 90.00
Space group P4/mmm (No. 123)
Inequivalent atoms, fractional coordinates:
Li 0.0000 0.0000 0.0000 [1 per cell]
Zr 0.0000 0.5000 0.0000 [2 per cell]
Cr 0.5000 0.5000 0.5000 [1 per cell]
H 0.0000 0.0000 0.5000 [1 per cell]

Peak list (8 most intense, 10 to 90 degrees two-theta, low angle first)
hkl 1 0 0, 17.4 deg, rel. 159
hkl 1 1 0, 24.7 deg, rel. 473
hkl 0 0 1, 29.5 deg, rel. 176
hkl 2 0 0, 35.2 deg, rel. 722
hkl 1 1 1, 38.8 deg, rel. 1000
hkl 2 0 1, 46.5 deg, rel. 200
hkl 2 2 0, 50.6 deg, rel. 245
hkl 3 1 1, 65.5 deg, rel. 394

***

Record 3
Diffraction record for Mn2CrH3. The X-ray powder pattern is simulated, not measured: it uses a DFT-relaxed cell (GGA-PBE, Alexandria) and Cu Kα (λ = 1.5418 Å).
Lines closer than 0.1° are merged.

abc: 2.6474 3.7754 8.0133
angles: 90.00 90.00 90.00
Space group Immm (No. 71)
Inequivalent atoms, fractional coordinates:
Mn 0.0000 0.0000 0.1643 [4 per cell]
Cr 0.0000 0.0000 0.5000 [2 per cell]
H 0.0000 0.5000 0.1721 [4 per cell]
H 0.0000 0.5000 0.5000 [2 per cell]

Peak list (8 most intense, 10 to 90 degrees two-theta, low angle first)
hkl 0 1 3, 41.4 deg, rel. 1000
hkl 1 1 0, 41.7 deg, rel. 982
hkl 0 2 0, 48.2 deg, rel. 337
hkl 1 0 3, 48.4 deg, rel. 663
hkl 1 2 3, 70.7 deg, rel. 372
hkl 0 3 3, 85.2 deg, rel. 104
hkl 1 3 0, 85.4 deg, rel. 310
hkl 2 1 3, 85.9 deg, rel. 204

***

Record 4
Diffraction record for Mn4CrH. The X-ray powder pattern is simulated, not measured: it uses a DFT-relaxed cell (GGA-PBE, Alexandria) and Cu Kα (λ = 1.5418 Å).
Lines closer than 0.1° are merged.

abc: 6.5201 6.5797 5.5275
angles: 90.00 90.00 90.00
Space group Pmmn (No. 59, origin choice 2)
Inequivalent atoms, fractional coordinates:
Mn 0.0500 0.0512 0.1827 [8 per cell]
Mn 0.0603 0.2500 0.5714 [4 per cell]
Mn 0.2500 0.5777 0.5539 [4 per cell]
Cr 0.2500 0.2500 0.9109 [2 per cell]
Cr 0.2500 0.7500 0.0450 [2 per cell]
H 0.0000 0.0000 0.5000 [4 per cell]

Peak list (8 most intense, 10 to 90 degrees two-theta, low angle first)
hkl 2 2 1, 42.3 deg, rel. 1000
hkl 0 2 2, 42.7 deg, rel. 251
hkl 2 0 2, 42.9 deg, rel. 290
hkl 3 1 0, 43.9 deg, rel. 244
hkl 0 3 1, 44.4 deg, rel. 462
hkl 2 1 2, 45.2 deg, rel. 465
hkl 1 3 1, 46.7 deg, rel. 265
hkl 0 1 3, 51.5 deg, rel. 300

***

Record 5
Diffraction record for Mn4Cr3H9. The X-ray powder pattern is simulated, not measured: it uses a DFT-relaxed cell (GGA-PBE, Alexandria) and Cu Kα (λ = 1.5418 Å).
Lines closer than 0.1° are merged.

abc: 4.2458 4.2458 20.3141
angles: 90.00 90.00 120.00
Space group R3 (No. 146, hexagonal axes)
Inequivalent atoms, fractional coordinates:
Mn 0.0000 0.0000 0.0000 [3 per cell]
Mn 0.0000 0.0000 0.1331 [3 per cell]
Mn 0.0000 0.0000 0.5214 [3 per cell]
Mn 0.0000 0.0000 0.6632 [3 per cell]
Cr 0.0000 0.0000 0.2707 [3 per cell]
Cr 0.0000 0.0000 0.3946 [3 per cell]
Cr 0.0000 0.0000 0.7922 [3 per cell]
H 0.0021 0.5475 0.2722 [9 per cell]
H 0.1017 0.3441 0.8570 [9 per cell]
H 0.1019 0.7662 0.7285 [9 per cell]

Peak list (8 most intense, 10 to 90 degrees two-theta, low angle first)
hkl 0 0 6, 26.3 deg, rel. 114
hkl 1 0 7, 39.6 deg, rel. 394
hkl 1 1 0, 42.6 deg, rel. 1000
hkl 0 1 8, 43.3 deg, rel. 568
hkl 2 0 8, 62.4 deg, rel. 181
hkl 3 0 0, 78.0 deg, rel. 143
hkl 1 2 8, 78.4 deg, rel. 167
hkl 1 1 15, 84.9 deg, rel. 180

***

Record 6
Diffraction record for MnCrH2. The X-ray powder pattern is simulated, not measured: it uses a DFT-relaxed cell (GGA-PBE, Alexandria) and Cu Kα (λ = 1.5418 Å).
Lines closer than 0.1° are merged.

abc: 5.3276 4.6018 4.2100
angles: 90.00 90.00 90.00
Space group Pbcm (No. 57)
Inequivalent atoms, fractional coordinates:
Mn 0.1229 0.0847 0.2500 [4 per cell]
Cr 0.3721 0.5840 0.2500 [4 per cell]
H 0.1215 0.7500 0.0000 [4 per cell]
H 0.3745 0.2500 0.0000 [4 per cell]

Peak list (8 most intense, 10 to 90 degrees two-theta, low angle first)
hkl 2 1 0, 39.1 deg, rel. 231
hkl 0 0 2, 43.0 deg, rel. 243
hkl 0 2 1, 44.8 deg, rel. 1000
hkl 2 1 2, 59.5 deg, rel. 139
hkl 2 3 0, 70.9 deg, rel. 100
hkl 0 2 3, 80.1 deg, rel. 152
hkl 2 3 2, 86.6 deg, rel. 108
hkl 4 2 1, 87.8 deg, rel. 81

***

Record 7
Diffraction record for MnCr3H3. The X-ray powder pattern is simulated, not measured: it uses a DFT-relaxed cell (GGA-PBE, Alexandria) and Cu Kα (λ = 1.5418 Å).
Lines closer than 0.1° are merged.

abc: 7.3453 7.4591 3.7502
angles: 90.00 90.00 90.00
Space group Cmcm (No. 63)
Inequivalent atoms, fractional coordinates:
Mn 0.0000 0.1218 0.2500 [4 per cell]
Cr 0.0000 0.3718 0.7500 [4 per cell]
Cr 0.2361 0.1238 0.7500 [8 per cell]
H 0.0000 0.3735 0.2500 [4 per cell]
H 0.2481 0.1267 0.2500 [8 per cell]

Peak list (8 most intense, 10 to 90 degrees two-theta, low angle first)
hkl 2 2 1, 42.1 deg, rel. 1000
hkl 0 0 2, 48.6 deg, rel. 172
hkl 0 4 0, 48.8 deg, rel. 168
hkl 4 0 0, 49.6 deg, rel. 150
hkl 0 4 2, 71.3 deg, rel. 94
hkl 2 2 3, 86.2 deg, rel. 104
hkl 2 6 1, 86.7 deg, rel. 102
hkl 6 2 1, 87.9 deg, rel. 88

***

Record 8
Diffraction record for CrMo3H. The X-ray powder pattern is simulated, not measured: it uses a DFT-relaxed cell (GGA-PBE, Alexandria) and Cu Kα (λ = 1.5418 Å).
Lines closer than 0.1° are merged.

abc: 3.9725 3.9725 3.9725
angles: 90.00 90.00 90.00
Space group Pm-3m (No. 221)
Inequivalent atoms, fractional coordinates:
Cr 0.0000 0.0000 0.0000 [1 per cell]
Mo 0.0000 0.5000 0.5000 [3 per cell]
H 0.5000 0.5000 0.5000 [1 per cell]

Peak list (8 most intense, 10 to 90 degrees two-theta, low angle first)
hkl 1 0 0, 22.4 deg, rel. 56
hkl 1 1 0, 31.9 deg, rel. 40
hkl 1 1 1, 39.3 deg, rel. 1000
hkl 2 0 0, 45.7 deg, rel. 484
hkl 2 1 0, 51.4 deg, rel. 24
hkl 2 2 0, 66.6 deg, rel. 300
hkl 3 1 1, 80.1 deg, rel. 355
hkl 2 2 2, 84.5 deg, rel. 105

***

Record 9
Diffraction record for CrNiMo2H. The X-ray powder pattern is simulated, not measured: it uses a DFT-relaxed cell (GGA-PBE, Alexandria) and Cu Kα (λ = 1.5418 Å).
Lines closer than 0.1° are merged.

abc: 3.9717 3.9717 3.5797
angles: 90.00 90.00 90.00
Space group P4/mmm (No. 123)
Inequivalent atoms, fractional coordinates:
Cr 0.0000 0.0000 0.0000 [1 per cell]
Ni 0.5000 0.5000 0.0000 [1 per cell]
Mo 0.0000 0.5000 0.5000 [2 per cell]
H 0.5000 0.5000 0.5000 [1 per cell]

Peak list (8 most intense, 10 to 90 degrees two-theta, low angle first)
hkl 1 1 1, 40.8 deg, rel. 1000
hkl 2 0 0, 45.7 deg, rel. 362
hkl 0 0 2, 51.0 deg, rel. 128
hkl 2 2 0, 66.6 deg, rel. 110
hkl 2 0 2, 70.9 deg, rel. 183
hkl 3 1 1, 81.2 deg, rel. 250
hkl 2 2 2, 88.5 deg, rel. 104
hkl 1 1 3, 89.2 deg, rel. 102

***

Record 10
Diffraction record for CrTc2MoH. The X-ray powder pattern is simulated, not measured: it uses a DFT-relaxed cell (GGA-PBE, Alexandria) and Cu Kα (λ = 1.5418 Å).
Lines closer than 0.1° are merged.

abc: 3.9358 3.9358 3.8239
angles: 90.00 90.00 90.00
Space group P4/mmm (No. 123)
Inequivalent atoms, fractional coordinates:
Cr 0.0000 0.0000 0.0000 [1 per cell]
Tc 0.0000 0.5000 0.5000 [2 per cell]
Mo 0.5000 0.5000 0.0000 [1 per cell]
H 0.0000 0.0000 0.5000 [1 per cell]

Peak list (8 most intense, 10 to 90 degrees two-theta, low angle first)
hkl 1 1 1, 40.1 deg, rel. 1000
hkl 2 0 0, 46.1 deg, rel. 334
hkl 0 0 2, 47.6 deg, rel. 152
hkl 2 2 0, 67.3 deg, rel. 103
hkl 2 0 2, 68.4 deg, rel. 195
hkl 3 1 1, 81.3 deg, rel. 239
hkl 1 1 3, 83.4 deg, rel. 112
hkl 2 2 2, 86.5 deg, rel. 104